# K4InSn4
Computed X-ray diffraction stick pattern, CuKα. Input: a DFT-relaxed cell (PBE, Alexandria).
No peak broadening, texture or thermal motion is included.

Main lines, sorted by position (5 to 70 degrees two-theta):
two_theta, intensity
13.6, 100
19.3, 32
27.3, 33
27.8, 60
29.3, 48
29.6, 33
32.7, 55
33.0, 69
33.3, 64
44.7, 30

Cell and atoms:
Unit cell a=6.6732 b=6.9686 c=7.3576 alpha=105.97 beta=90.39 gamma=102.30
Space group P1 (No. 1)
Symmetry-distinct sites (fractional):
K 0.0000 0.0000 0.0000 x1
K 0.0582 0.9626 0.5320 x1
K 0.3414 0.5616 0.9208 x1
K 0.5377 0.1271 0.3077 x1
In 0.8171 0.5056 0.1292 x1
Sn 0.1328 0.4329 0.3956 x1
Sn 0.5545 0.6971 0.4928 x1
Sn 0.5635 0.1202 0.8023 x1
Sn 0.8191 0.4877 0.6998 x1

=====

# SrGa2Ge2
Computed X-ray diffraction stick pattern, CuKα. Input: a DFT-relaxed cell (PBE, Alexandria).
No peak broadening, texture or thermal motion is included.

Main lines, sorted by position (5 to 70 degrees two-theta):
two_theta, intensity
28.5, 100
31.4, 61
33.4, 75
34.1, 26
39.6, 24
41.8, 41
46.7, 19
50.3, 25
50.9, 28
53.2, 27

Cell and atoms:
Unit cell a=10.0283 b=4.3221 c=10.8997 alpha=90.00 beta=90.00 gamma=90.00
Space group Pnma (No. 62)
Symmetry-distinct sites (fractional):
Sr 0.2486 0.2500 0.1758 x4
Ga 0.0480 0.2500 0.8703 x4
Ga 0.1090 0.2500 0.4531 x4
Ge 0.0317 0.7500 0.3474 x4
Ge 0.1373 0.7500 0.9617 x4

=====

# NdHo3Te4
Computed X-ray diffraction stick pattern, CuKα. Input: a DFT-relaxed cell (PBE, Alexandria).
No peak broadening, texture or thermal motion is included.

Main lines, sorted by position (5 to 70 degrees two-theta):
two_theta, intensity
28.8, 100
40.5, 13
41.2, 51
42.0, 12
50.5, 14
51.7, 13
59.8, 13
66.7, 6
67.7, 23
68.7, 6

Cell and atoms:
Unit cell a=8.9007 b=12.3855 c=4.3041 alpha=90.00 beta=90.00 gamma=90.00
Space group Cmmm (No. 65)
Symmetry-distinct sites (fractional):
Nd 0.0000 0.0000 0.0000 x2
Ho 0.0000 0.5000 0.0000 x2
Ho 0.2500 0.2500 0.5000 x4
Te 0.0000 0.2545 0.0000 x4
Te 0.2410 0.5000 0.5000 x4

=====

# RbI3F
Computed X-ray diffraction stick pattern, CuKα. Input: a DFT-relaxed cell (PBE, Alexandria).
No peak broadening, texture or thermal motion is included.

Main lines, sorted by position (5 to 70 degrees two-theta):
two_theta, intensity
27.1, 65
28.1, 100
38.7, 25
41.5, 10
48.5, 44
50.3, 23
55.9, 8
58.0, 15
63.3, 11
63.8, 10

Cell and atoms:
Unit cell a=6.5742 b=6.5742 c=4.3540 alpha=90.00 beta=90.00 gamma=90.00
Space group P4/mmm (No. 123)
Symmetry-distinct sites (fractional):
Rb 0.0000 0.0000 0.0000 x1
I 0.0000 0.5000 0.5000 x2
I 0.5000 0.5000 0.0000 x1
F 0.5000 0.5000 0.5000 x1

=====

# LaPr6Er2Tm3
Computed X-ray diffraction stick pattern, CuKα. Input: a DFT-relaxed cell (PBE, Alexandria).
No peak broadening, texture or thermal motion is included.

Main lines, sorted by position (5 to 70 degrees two-theta):
two_theta, intensity
30.1, 100
30.5, 32
35.0, 67
50.1, 24
50.6, 24
59.6, 14
59.8, 29
60.3, 14
62.6, 12
63.5, 4

Cell and atoms:
Unit cell a=6.3016 b=10.9185 c=11.9088 alpha=90.00 beta=100.16 gamma=90.00
Space group C2/m (No. 12)
Symmetry-distinct sites (fractional):
La 0.0000 0.0000 0.0000 x2
Pr 0.2482 0.3329 0.7467 x8
Pr 0.2494 0.0000 0.7466 x4
Er 0.0000 0.3335 0.0000 x4
Tm 0.0000 0.1670 0.5000 x4
Tm 0.0000 0.5000 0.5000 x2

=====

# MnCrTcPdRh
Computed X-ray diffraction stick pattern, CuKα. Input: a DFT-relaxed cell (PBE, Alexandria).
No peak broadening, texture or thermal motion is included.

Main lines, sorted by position (5 to 70 degrees two-theta):
two_theta, intensity
31.0, 34
41.4, 100
42.4, 81
44.5, 63
45.7, 40
46.4, 10
55.6, 6
58.4, 6
65.7, 38
66.9, 5

Cell and atoms:
Unit cell a=2.6646 b=3.9678 c=12.6400 alpha=90.00 beta=90.00 gamma=90.00
Space group Amm2 (No. 38)
Symmetry-distinct sites (fractional):
Mn 0.0000 0.0000 0.0000 x2
Cr 0.0000 0.0000 0.4093 x2
Tc 0.5000 0.0000 0.8249 x2
Pd 0.0000 0.0000 0.2038 x2
Rh 0.5000 0.0000 0.5827 x2

=====

# AlIn2Te4
Computed X-ray diffraction stick pattern, CuKα. Input: a DFT-relaxed cell (PBE, Alexandria).
No peak broadening, texture or thermal motion is included.

Main lines, sorted by position (5 to 70 degrees two-theta):
two_theta, intensity
18.1, 14
24.3, 100
30.5, 21
36.7, 32
37.3, 11
41.8, 37
44.5, 39
53.0, 18
59.0, 8
69.6, 16

Cell and atoms:
Unit cell a=6.9193 b=6.9193 c=11.0764 alpha=90.00 beta=90.00 gamma=90.00
Space group I-42m (No. 121)
Symmetry-distinct sites (fractional):
Al 0.0000 0.0000 0.0000 x2
In 0.0000 0.5000 0.2500 x4
Te 0.2439 0.2439 0.1041 x8

=====

# Sm5Tm12Th2
Computed X-ray diffraction stick pattern, CuKα. Input: a DFT-relaxed cell (PBE, Alexandria).
No peak broadening, texture or thermal motion is included.

Main lines, sorted by position (5 to 70 degrees two-theta):
two_theta, intensity
27.9, 32
30.6, 23
30.8, 54
31.0, 100
32.7, 29
33.4, 59
35.9, 28
41.5, 21
46.8, 20
51.7, 23

Cell and atoms:
Unit cell a=17.0844 b=7.0695 c=10.7507 alpha=90.00 beta=104.55 gamma=90.00
Space group C2/m (No. 12)
Symmetry-distinct sites (fractional):
Sm 0.0000 0.0000 0.0000 x2
Sm 0.2346 0.5000 0.4978 x4
Sm 0.2476 0.0000 0.0069 x4
Tm 0.0269 0.0000 0.2965 x4
Tm 0.0289 0.5000 0.8485 x4
Tm 0.1501 0.2620 0.1924 x8
Tm 0.1581 0.2432 0.7277 x8
Th 0.0000 0.2921 0.5000 x4

=====

# KSmBe2F8
Computed X-ray diffraction stick pattern, CuKα. Input: a DFT-relaxed cell (PBE, Alexandria).
No peak broadening, texture or thermal motion is included.

Main lines, sorted by position (5 to 70 degrees two-theta):
two_theta, intensity
10.7, 100
19.1, 72
21.2, 45
21.5, 21
21.7, 58
24.2, 24
28.6, 43
29.2, 45
35.9, 31
39.0, 35

Cell and atoms:
Unit cell a=8.4082 b=5.5733 c=8.2768 alpha=90.00 beta=92.37 gamma=90.00
Space group C2/m (No. 12)
Symmetry-distinct sites (fractional):
K 0.0000 0.0000 0.0000 x2
Sm 0.0000 0.0000 0.5000 x2
Be 0.1240 0.5000 0.2706 x4
F 0.0185 0.2669 0.2944 x8
F 0.2053 0.5000 0.1145 x4
F 0.2381 0.5000 0.4319 x4

=====

# PmHo7Tl2
Computed X-ray diffraction stick pattern, CuKα. Input: a DFT-relaxed cell (PBE, Alexandria).
No peak broadening, texture or thermal motion is included.

Main lines, sorted by position (5 to 70 degrees two-theta):
two_theta, intensity
16.3, 69
19.4, 32
19.9, 27
28.5, 48
30.5, 68
33.0, 66
34.3, 90
35.0, 100
45.5, 46
61.5, 28

Cell and atoms:
Unit cell a=9.1338 b=15.3205 c=5.4337 alpha=90.00 beta=90.00 gamma=90.00
Space group Cmmm (No. 65)
Symmetry-distinct sites (fractional):
Pm 0.0000 0.0000 0.0000 x2
Ho 0.0000 0.2304 0.0000 x4
Ho 0.0000 0.5000 0.5000 x2
Ho 0.1813 0.1216 0.5000 x8
Tl 0.0000 0.3048 0.5000 x4

=====

# Ni3H5
Computed X-ray diffraction stick pattern, CuKα. Input: a DFT-relaxed cell (PBE, Alexandria).
No peak broadening, texture or thermal motion is included.

Main lines, sorted by position (5 to 70 degrees two-theta):
two_theta, intensity
37.0, 100
38.3, 6
40.2, 11
43.5, 39
45.2, 52
48.2, 24
55.7, 6
63.6, 6
65.8, 8
68.4, 15

Cell and atoms:
Unit cell a=6.3499 b=6.3499 c=4.6987 alpha=90.00 beta=90.00 gamma=90.00
Space group I4/mcm (No. 140)
Symmetry-distinct sites (fractional):
Ni 0.0000 0.0000 0.2500 x4
Ni 0.1470 0.3530 0.0000 x8
H 0.0000 0.5000 0.2500 x4
H 0.0799 0.1991 0.5000 x16

=====

# Pm3TeS3
Computed X-ray diffraction stick pattern, CuKα. Input: a DFT-relaxed cell (PBE, Alexandria).
No peak broadening, texture or thermal motion is included.

Main lines, sorted by position (5 to 70 degrees two-theta):
two_theta, intensity
13.2, 22
24.6, 16
25.1, 100
33.1, 52
34.7, 22
37.3, 15
38.3, 39
43.6, 14
46.4, 14
54.5, 19

Cell and atoms:
Unit cell a=8.1377 b=8.1377 c=21.7093 alpha=90.00 beta=90.00 gamma=120.00
Space group R-3 (No. 148, hexagonal axes)
Symmetry-distinct sites (fractional):
Pm 0.0083 0.6224 0.0973 x18
Te 0.0000 0.0000 0.3301 x6
S 0.0011 0.2746 0.1100 x18

=====

# K3Zr3FeS8
Computed X-ray diffraction stick pattern, CuKα. Input: a DFT-relaxed cell (PBE, Alexandria).
No peak broadening, texture or thermal motion is included.

Main lines, sorted by position (5 to 70 degrees two-theta):
two_theta, intensity
11.6, 84
23.4, 11
28.5, 10
29.3, 11
32.4, 100
39.7, 21
42.7, 33
49.9, 29
51.4, 11
52.8, 11

Cell and atoms:
Unit cell a=12.6699 b=7.3015 c=8.7006 alpha=90.00 beta=119.10 gamma=90.00
Space group C2/m (No. 12)
Symmetry-distinct sites (fractional):
K 0.0000 0.0000 0.0000 x2
K 0.2500 0.2500 0.0000 x4
Zr 0.0000 0.5000 0.5000 x2
Zr 0.2500 0.2500 0.5000 x4
Fe 0.0000 0.0000 0.5000 x2
S 0.0164 0.2340 0.3152 x8
S 0.2178 0.0000 0.6851 x4
S 0.2334 0.5000 0.7006 x4